Record 1
Structure and theoretical powder diffraction line list of Ba5Li24 (DFT lattice parameters and positions (GGA-PBE); a wavelength of 1.5418 Å).

Crystal structure
```
Ba5Li24
1.0
-5.8812 5.8812 5.8812
5.8812 -5.8812 5.8812
5.8812 5.8812 -5.8812
Ba Li
5 24
direct
0.0000 0.0000 0.0000
0.0000 0.0000 0.3829
0.0000 0.3829 0.0000
0.3829 0.0000 0.0000
0.6171 0.6171 0.6171
0.0000 0.3469 0.6015
0.0000 0.6015 0.3469
0.0000 0.6192 0.8046
0.0000 0.8046 0.6192
0.1855 0.3808 0.3808
0.1954 0.1954 0.8145
0.1954 0.8145 0.1954
0.2546 0.6531 0.6531
0.3469 0.0000 0.6015
0.3469 0.6015 0.0000
0.3808 0.1855 0.3808
0.3808 0.3808 0.1855
0.3985 0.3985 0.7454
0.3985 0.7454 0.3985
0.6015 0.0000 0.3469
0.6015 0.3469 0.0000
0.6192 0.0000 0.8046
0.6192 0.8046 0.0000
0.6531 0.2546 0.6531
0.6531 0.6531 0.2546
0.7454 0.3985 0.3985
0.8046 0.0000 0.6192
0.8046 0.6192 0.0000
0.8145 0.1954 0.1954
```

Largest 8 diffraction maxima, in order of falling intensity, 5° ≤ 2θ ≤ 70°:
2θ/deg, d_spacing, I/Imax
32.29, 2.772, 100
18.48, 4.802, 81
28.39, 3.144, 55
21.37, 4.159, 53
10.64, 8.317, 53
47.66, 1.908, 46
39.05, 2.307, 23
57.58, 1.601, 22

---

Record 2
Structure and theoretical powder diffraction line list of Ba3Li11 (DFT lattice parameters and positions (GGA-PBE); a wavelength of 1.5418 Å).

Crystal structure
```
Ba3Li11
1.0
-2.4773 5.7437 7.5842
2.4773 -5.7437 7.5842
2.4773 5.7437 -7.5842
Ba Li
3 11
direct
0.0000 0.0000 0.0000
0.3057 0.3057 0.0000
0.6943 0.6943 0.0000
0.0162 0.6840 0.3323
0.1678 0.8873 0.2805
0.2898 0.5000 0.7898
0.3517 0.6840 0.6677
0.3932 0.1127 0.2805
0.5000 0.0000 0.5000
0.6068 0.8873 0.7195
0.6483 0.3160 0.3323
0.7102 0.5000 0.2102
0.8322 0.1127 0.7195
0.9838 0.3160 0.6677
```

Largest 8 diffraction maxima, in order of falling intensity, 5° ≤ 2θ ≤ 70°:
2θ/deg, d_spacing, I/Imax
19.51, 4.549, 100
19.18, 4.628, 86
15.43, 5.744, 77
29.65, 3.013, 71
25.17, 3.539, 50
29.48, 3.030, 44
29.26, 3.053, 37
40.45, 2.230, 25

---

Record 3
Structure and theoretical powder diffraction line list of Ba8Li (DFT lattice parameters and positions (GGA-PBE); a wavelength of 1.5418 Å).

Crystal structure
```
Ba8Li
1.0
-7.3682 7.3682 2.4675
7.3682 -7.3682 2.4675
7.3682 7.3682 -2.4675
Ba Li
8 1
direct
0.0000 0.3366 0.3366
0.0000 0.6634 0.6634
0.3366 0.0000 0.3366
0.3442 0.3442 0.6884
0.3442 0.6558 0.0000
0.6558 0.3442 0.0000
0.6558 0.6558 0.3116
0.6634 0.0000 0.6634
0.0000 0.0000 0.0000
```

Largest 8 diffraction maxima, in order of falling intensity, 5° ≤ 2θ ≤ 70°:
2θ/deg, d_spacing, I/Imax
25.61, 3.479, 100
45.18, 2.007, 26
45.07, 2.012, 14
36.59, 2.456, 12
59.50, 1.554, 10
52.57, 1.741, 9
36.41, 2.468, 7
59.24, 1.560, 6

---

Record 4
Structure and theoretical powder diffraction line list of BaLi4 (DFT lattice parameters and positions (GGA-PBE); a wavelength of 1.5418 Å).

Crystal structure
```
BaLi4
1.0
10.8222 0.0000 0.0000
-5.4111 9.3723 0.0000
0.0000 0.0000 8.7763
Ba Li
6 24
direct
0.0560 0.5280 0.2500
0.4720 0.5280 0.2500
0.4720 0.9440 0.2500
0.5280 0.0560 0.7500
0.5280 0.4720 0.7500
0.9440 0.4720 0.7500
0.0000 0.0000 0.0000
0.0000 0.0000 0.5000
0.0994 0.1987 0.2500
0.0994 0.9006 0.2500
0.1634 0.3269 0.5663
0.1634 0.3269 0.9337
0.1634 0.8366 0.5663
0.1634 0.8366 0.9337
0.1987 0.0994 0.7500
0.3269 0.1634 0.0663
0.3269 0.1634 0.4337
0.3333 0.6667 0.5849
0.3333 0.6667 0.9151
0.6667 0.3333 0.0849
0.6667 0.3333 0.4151
0.6731 0.8366 0.5663
0.6731 0.8366 0.9337
0.8013 0.9006 0.2500
0.8366 0.1634 0.0663
0.8366 0.1634 0.4337
0.8366 0.6731 0.0663
0.8366 0.6731 0.4337
0.9006 0.0994 0.7500
0.9006 0.8013 0.7500
```

Largest 8 diffraction maxima, in order of falling intensity, 5° ≤ 2θ ≤ 70°:
2θ/deg, d_spacing, I/Imax
18.94, 4.686, 100
27.85, 3.203, 91
9.44, 9.372, 58
27.15, 3.285, 43
30.37, 2.943, 39
20.24, 4.388, 38
43.33, 2.088, 32
13.82, 6.406, 26

---

Record 5
Structure and theoretical powder diffraction line list of Ba2Li17 (DFT lattice parameters and positions (GGA-PBE); a wavelength of 1.5418 Å).

Crystal structure
```
Ba2Li17
1.0
5.2354 3.0226 5.1240
-5.2354 3.0226 5.1240
0.0000 -6.0453 5.1240
Ba Li
2 17
direct
0.1534 0.1534 0.1534
0.8466 0.8466 0.8466
0.0000 0.5000 0.5000
0.1624 0.1624 0.6402
0.1624 0.6402 0.1624
0.2167 0.5000 0.7833
0.2167 0.7833 0.5000
0.3598 0.8376 0.8376
0.4075 0.4075 0.4075
0.5000 0.0000 0.5000
0.5000 0.2167 0.7833
0.5000 0.5000 0.0000
0.5000 0.7833 0.2167
0.5925 0.5925 0.5925
0.6402 0.1624 0.1624
0.7833 0.2167 0.5000
0.7833 0.5000 0.2167
0.8376 0.3598 0.8376
0.8376 0.8376 0.3598
```

Largest 8 diffraction maxima, in order of falling intensity, 5° ≤ 2θ ≤ 70°:
2θ/deg, d_spacing, I/Imax
16.94, 5.235, 100
24.31, 3.662, 94
11.33, 7.810, 72
34.45, 2.603, 50
49.34, 1.847, 42
29.55, 3.023, 35
35.07, 2.559, 32
17.31, 5.124, 30

---

Record 6
Structure and theoretical powder diffraction line list of Ba6Li23 (DFT lattice parameters and positions (GGA-PBE); a wavelength of 1.5418 Å).

Crystal structure
```
Ba6Li23
1.0
0.0000 7.5668 7.5668
7.5668 0.0000 7.5668
7.5668 7.5668 0.0000
Ba Li
6 23
direct
0.2070 0.2070 0.7930
0.2070 0.7930 0.2070
0.2070 0.7930 0.7930
0.7930 0.2070 0.2070
0.7930 0.2070 0.7930
0.7930 0.7930 0.2070
0.0000 0.0000 0.5000
0.0000 0.5000 0.0000
0.0000 0.5000 0.5000
0.1291 0.6236 0.6236
0.1795 0.1795 0.1795
0.1795 0.1795 0.4615
0.1795 0.4615 0.1795
0.3764 0.3764 0.3764
0.3764 0.3764 0.8709
0.3764 0.8709 0.3764
0.4615 0.1795 0.1795
0.5000 0.0000 0.0000
0.5000 0.0000 0.5000
0.5000 0.5000 0.0000
0.5000 0.5000 0.5000
0.5385 0.8205 0.8205
0.6236 0.1291 0.6236
0.6236 0.6236 0.1291
0.6236 0.6236 0.6236
0.8205 0.5385 0.8205
0.8205 0.8205 0.5385
0.8205 0.8205 0.8205
0.8709 0.3764 0.3764
```

Largest 8 diffraction maxima, in order of falling intensity, 5° ≤ 2θ ≤ 70°:
2θ/deg, d_spacing, I/Imax
20.33, 4.369, 100
30.70, 2.912, 74
23.51, 3.783, 51
11.70, 7.567, 43
10.12, 8.737, 41
25.66, 3.472, 40
42.67, 2.119, 35
33.50, 2.675, 35

---

Record 7
Structure and theoretical powder diffraction line list of BaLi2 (DFT lattice parameters and positions (GGA-PBE); a wavelength of 1.5418 Å).

Crystal structure
```
BaLi2
1.0
6.3028 -2.1032 0.0000
6.3028 2.1032 0.0000
-0.6424 0.0000 8.1487
Ba Li
2 4
direct
0.0000 0.0000 0.0000
0.2464 0.2464 0.6896
0.3173 0.3173 0.2739
0.6056 0.6056 0.3644
0.7319 0.7319 0.0738
0.9509 0.9509 0.4802
```

Largest 8 diffraction maxima, in order of falling intensity, 5° ≤ 2θ ≤ 70°:
2θ/deg, d_spacing, I/Imax
25.10, 3.548, 100
10.86, 8.149, 61
17.13, 5.176, 52
18.50, 4.797, 47
22.29, 3.989, 46
30.98, 2.887, 37
31.50, 2.840, 37
27.00, 3.302, 27

---

Record 8
Structure and theoretical powder diffraction line list of BaLi6 (DFT lattice parameters and positions (GGA-PBE); a wavelength of 1.5418 Å).

Crystal structure
```
BaLi6
1.0
9.9547 0.0000 0.0000
0.0000 6.1798 0.0000
0.0000 0.0000 12.3359
Ba Li
4 24
direct
0.2426 0.2500 0.0667
0.2574 0.7500 0.5667
0.7426 0.2500 0.4333
0.7574 0.7500 0.9333
0.0561 0.7500 0.0986
0.0655 0.5010 0.3106
0.0655 0.9990 0.3106
0.0968 0.2500 0.5146
0.1427 0.7500 0.8609
0.1826 0.2500 0.7530
0.3174 0.7500 0.2530
0.3573 0.2500 0.3609
0.4032 0.7500 0.0146
0.4345 0.0010 0.8106
0.4345 0.4990 0.8106
0.4439 0.2500 0.5986
0.5561 0.7500 0.4014
0.5655 0.5010 0.1894
0.5655 0.9990 0.1894
0.5968 0.2500 0.9854
0.6427 0.7500 0.6391
0.6826 0.2500 0.7470
0.8174 0.7500 0.2470
0.8573 0.2500 0.1391
0.9032 0.7500 0.4854
0.9345 0.0010 0.6894
0.9345 0.4990 0.6894
0.9439 0.2500 0.9014
```

Largest 8 diffraction maxima, in order of falling intensity, 5° ≤ 2θ ≤ 70°:
2θ/deg, d_spacing, I/Imax
18.36, 4.831, 100
16.91, 5.243, 41
31.72, 2.821, 36
31.45, 2.845, 35
17.82, 4.977, 31
26.03, 3.423, 27
30.34, 2.946, 22
14.36, 6.168, 22